Sr6Tl2Rh: simulated powder diffraction line list (Cu Kα), based on a DFT-relaxed cell (GGA-PBE, Alexandria).

Most intense lines, 5° ≤ 2θ ≤ 70°, by angle:
| index | 2θ (°) | d [Å] | I_rel |
| --- | --- | --- | --- |
| 1 1 0 | 17.45 | 5.081 | 67 |
| 2 1 -1 | 27.35 | 3.261 | 100 |
| 1 2 -3 | 28.17 | 3.168 | 65 |
| 1 1 2 | 28.91 | 3.089 | 88 |
| 0 2 3 | 31.29 | 2.859 | 69 |
| 1 3 -1 | 31.85 | 2.810 | 67 |

Cell lengths 7.3608, 9.1212, 13.2111 Å; angles 90.00, 123.62, 90.00 degrees
Atoms (fractional coordinates):
Sr  0.1079  0.1581  0.4437
Sr  0.1079  0.3419  0.9437
Sr  0.2991  0.7005  0.4405
Sr  0.2991  0.7995  0.9405
Sr  0.3643  0.0324  0.2483
Sr  0.3643  0.4676  0.7483
Sr  0.6357  0.5324  0.2517
Sr  0.6357  0.9676  0.7517
Sr  0.7009  0.2005  0.0595
Sr  0.7009  0.2995  0.5595
Sr  0.8921  0.6581  0.0563
Sr  0.8921  0.8419  0.5563
Tl  0.2014  0.1145  0.7602
Tl  0.2014  0.3855  0.2602
Tl  0.7986  0.6145  0.7398
Tl  0.7986  0.8855  0.2398
Rh  0.5000  0.0000  0.5000
Rh  0.5000  0.5000  0.0000